For AcNbGe2O8, a cell relaxed with GGA-PBE gives the computed XRD peak list in this record (Cu Kα).
Intensities are scaled so that the largest is 100.

Largest 8 diffraction maxima, in order of rising 2θ, 5 to 70 degrees two-theta:
| 2θ (°) | I_rel |
| --- | --- |
| 22.32 | 15 |
| 26.10 | 100 |
| 36.64 | 42 |
| 37.85 | 33 |
| 45.54 | 23 |
| 59.81 | 20 |
| 61.49 | 20 |
| 66.77 | 13 |

Crystal structure
a = 8.1561 Å, b = 8.1561 Å, c = 8.1561 Å
α = 35.00°, β = 35.00°, γ = 35.00°
Positions (direct):
Ac 0.0000 0.0000 0.0000
Nb 0.5000 0.5000 0.5000
Ge 0.2439 0.2439 0.2439
Ge 0.7561 0.7561 0.7561
O 0.1318 0.4346 0.7640
O 0.2360 0.5654 0.8682
O 0.3199 0.3199 0.3199
O 0.4346 0.7640 0.1318
O 0.5654 0.8682 0.2360
O 0.6801 0.6801 0.6801
O 0.7640 0.1318 0.4346
O 0.8682 0.2360 0.5654



For Ac3NdGe4, a cell relaxed with GGA-PBE gives the computed XRD peak list in this record (Cu Kα).
Intensities are scaled so that the largest is 100.

Largest 8 diffraction maxima, in order of rising 2θ, 5 to 70 degrees two-theta:
| 2θ (°) | I_rel |
| --- | --- |
| 20.45 | 23 |
| 26.02 | 100 |
| 31.74 | 18 |
| 32.73 | 28 |
| 34.09 | 23 |
| 39.97 | 20 |
| 46.88 | 20 |
| 48.85 | 23 |

Crystal structure
a = 4.5115 Å, b = 6.6481 Å, c = 17.2080 Å
α = 90.00°, β = 90.00°, γ = 90.00°
Positions (direct):
Ac 0.0000 0.0000 0.0000
Ac 0.0000 0.5000 0.1957
Ac 0.0000 0.5000 0.8043
Ac 0.5000 0.0000 0.3043
Ac 0.5000 0.0000 0.6957
Ac 0.5000 0.5000 0.5000
Nd 0.0000 0.0000 0.5000
Nd 0.5000 0.5000 0.0000
Ge 0.0000 0.3110 0.3726
Ge 0.0000 0.3110 0.6274
Ge 0.0000 0.6890 0.3726
Ge 0.0000 0.6890 0.6274
Ge 0.5000 0.1890 0.1274
Ge 0.5000 0.1890 0.8726
Ge 0.5000 0.8110 0.1274
Ge 0.5000 0.8110 0.8726